No. 1
Starting from a cell relaxed with GGA-PBE, the XRD peak list of PmHoCuPd was calculated for a wavelength of 1.5418 Å.
Intensities are scaled so that the largest is 100.

The 10 most intense peaks (2θ from 10° to 80°), low angle first:
- 2θ = 25.8°, I 21.5, hkl 1 0 2
- 2θ = 31.8°, I 100.0, hkl 1 1 1
- 2θ = 34.1°, I 25.2, hkl 0 0 4
- 2θ = 34.9°, I 33.2, hkl 0 1 3
- 2θ = 39.2°, I 32.6, hkl 2 0 0
- 2θ = 39.5°, I 19.9, hkl 1 0 4
- 2θ = 40.2°, I 56.9, hkl 1 1 3
- 2θ = 48.0°, I 18.3, hkl 0 2 0
- 2θ = 53.5°, I 19.6, hkl 2 1 3
- 2θ = 63.6°, I 15.5, hkl 2 2 0

Cell and atoms:
a b c (Å): 4.592 3.794 10.506
angles (deg): 90.00 90.00 90.00
Space group Amm2 (No. 38)
Inequivalent atoms, fractional coordinates:
Pm (0.000, 0.000, 0.000) [2 per cell]
Ho (0.500, 0.000, 0.277) [2 per cell]
Cu (0.000, 0.000, 0.719) [2 per cell]
Pd (0.500, 0.000, 0.565) [2 per cell]

No. 2
Starting from a cell relaxed with GGA-PBE, the XRD peak list of Pr2Al4Ir3Au was calculated for a wavelength of 1.5418 Å.
Intensities are scaled so that the largest is 100.

The 10 most intense peaks (2θ from 10° to 80°), low angle first:
- 2θ = 25.2°, I 34.2, hkl 0 0 3
- 2θ = 26.8°, I 30.9, hkl 1 0 2
- 2θ = 30.9°, I 70.3, hkl 1 1 1
- 2θ = 32.9°, I 57.9, hkl 1 0 3
- 2θ = 34.2°, I 100.0, hkl 1 1 2
- 2θ = 42.4°, I 64.1, hkl 2 0 0
- 2θ = 45.6°, I 26.9, hkl 1 1 4
- 2θ = 47.9°, I 28.0, hkl 1 0 5
- 2θ = 54.7°, I 27.4, hkl 2 1 3
- 2θ = 72.4°, I 23.0, hkl 3 1 2

Cell and atoms:
a b c (Å): 4.261 4.261 10.612
angles (deg): 90.00 90.00 90.00
Space group P-4m2 (No. 115)
Inequivalent atoms, fractional coordinates:
Pr (0.000, 0.500, 0.247) [2 per cell]
Al (0.000, 0.000, 0.000) [1 per cell]
Al (0.000, 0.500, 0.632) [2 per cell]
Al (0.500, 0.500, 0.000) [1 per cell]
Ir (0.000, 0.500, 0.868) [2 per cell]
Ir (0.500, 0.500, 0.500) [1 per cell]
Au (0.000, 0.000, 0.500) [1 per cell]

No. 3
Starting from a cell relaxed with GGA-PBE, the XRD peak list of CuSiNi2 was calculated for a wavelength of 1.5418 Å.
Intensities are scaled so that the largest is 100.

The 10 most intense peaks (2θ from 10° to 80°), low angle first:
- 2θ = 21.9°, I 19.0, hkl 1 1 0
- 2θ = 41.0°, I 8.0, hkl 1 1 1
- 2θ = 44.0°, I 100.0, hkl 0 2 1
- 2θ = 44.7°, I 98.2, hkl 2 2 0
- 2θ = 49.7°, I 68.3, hkl 2 0 1
- 2θ = 55.4°, I 24.1, hkl 0 4 0
- 2θ = 57.4°, I 4.4, hkl 1 3 1
- 2θ = 71.9°, I 10.4, hkl 0 0 2
- 2θ = 74.0°, I 9.6, hkl 4 0 0
- 2θ = 77.7°, I 33.3, hkl 2 4 1

Cell and atoms:
a b c (Å): 5.121 6.631 2.626
angles (deg): 90.00 90.00 90.00
Space group Cmmm (No. 65)
Inequivalent atoms, fractional coordinates:
Cu (0.000, 0.000, 0.000) [2 per cell]
Si (0.000, 0.500, 0.000) [2 per cell]
Ni (0.250, 0.250, 0.500) [4 per cell]